Calculated powder diffraction line list of Al45Cr7 for a wavelength of 1.5418 Å, from a PBE-relaxed structure.
Lines closer than 0.1° are merged.

Peak list (12 most intense, 10 to 80 degrees two-theta, in order of falling intensity)
| 2theta | I (rel.) |
| --- | --- |
| 44.04 | 100 |
| 43.88 | 80 |
| 42.06 | 66 |
| 44.28 | 58 |
| 14.37 | 53 |
| 41.47 | 51 |
| 41.24 | 43 |
| 41.57 | 34 |
| 75.45 | 30 |
| 40.57 | 28 |
| 75.30 | 26 |
| 75.94 | 25 |

Structure:
```
52
Lattice="10.274 -3.785 0.000 10.274 3.785 0.000 -3.251 0.000 10.434" Properties=species:S:1:pos:R:3 pbc="T T T"
Al 0.000 0.000 0.000
Al 2.179 1.418 6.624
Al -0.378 0.000 2.676
Al 4.781 2.318 6.744
Al 7.195 2.399 5.318
Al -0.005 0.000 7.611
Al 3.511 1.402 9.195
Al 2.155 0.000 1.396
Al 6.071 1.411 1.514
Al 1.068 0.000 10.281
Al 10.102 2.399 5.116
Al 6.480 1.488 9.163
Al 4.003 0.000 5.306
Al 8.580 1.426 3.075
Al 8.717 1.426 7.359
Al 10.817 1.488 1.271
Al 12.517 2.318 3.690
Al 6.373 0.000 4.047
Al 2.179 -1.418 6.624
Al 6.282 0.000 6.861
Al 8.430 0.000 0.627
Al 11.226 1.411 8.920
Al 3.511 -1.402 9.195
Al 13.787 1.402 1.239
Al 6.071 -1.411 1.514
Al 8.867 0.000 9.807
Al 11.015 0.000 3.573
Al 15.119 1.418 3.810
Al 10.924 0.000 6.387
Al 4.781 -2.318 6.744
Al 6.480 -1.488 9.163
Al 8.580 -1.426 3.075
Al 8.717 -1.426 7.359
Al 13.295 0.000 5.128
Al 10.817 -1.488 1.271
Al 7.195 -2.399 5.318
Al 16.230 0.000 0.153
Al 11.226 -1.411 8.920
Al 15.142 0.000 9.038
Al 13.787 -1.402 1.239
Al 17.303 0.000 2.823
Al 10.102 -2.399 5.116
Al 12.517 -2.318 3.690
Al 17.676 0.000 7.758
Al 15.119 -1.418 3.810
Cr 8.259 2.465 0.858
Cr 4.283 0.000 2.730
Cr 9.038 2.465 9.576
Cr 8.649 0.000 5.217
Cr 8.259 -2.465 0.858
Cr 13.015 0.000 7.704
Cr 9.038 -2.465 9.576
```